[1]
This entry pairs a crystal structure of Sm6Ni20As13 with its simulated powder diffractogram. Radiation: copper Kα. Structure: a structure optimized by DFT (PBE).

Structure:
```
Sm6Ni20As13
1.0
13.1859 0.0000 0.0000
-6.5929 11.4193 0.0000
0.0000 0.0000 3.9432
Sm Ni As
6 20 13
Cartesian
-4.9282 9.7558 0.0000
0.6083 2.2735 0.0000
5.9574 1.5516 1.9716
4.9580 5.4843 1.9716
4.3199 10.8093 0.0000
8.8634 4.3834 1.9716
0.0000 0.0000 1.9716
-3.6562 6.8164 0.0000
-1.1104 3.9462 1.9716
-1.8895 6.3594 1.9716
-1.4768 8.3515 0.0000
-2.6202 10.4079 1.9716
0.0987 5.9646 0.0000
3.5674 0.9153 0.0000
3.0255 2.8751 1.9716
2.5179 4.8448 0.0000
-0.1407 9.8760 1.9716
2.0303 6.6032 1.9716
1.3781 8.5225 0.0000
1.1383 11.1775 0.0000
3.7307 8.4846 1.9716
6.5929 3.8064 0.0000
9.1833 1.1826 1.9716
5.6019 7.8722 0.0000
7.5701 7.3616 1.9716
10.6095 2.6318 0.0000
-2.0968 4.9539 0.0000
-3.3715 8.1550 1.9716
2.2384 0.6180 1.9716
1.2162 4.4220 1.9716
0.0000 7.6129 1.9716
-1.2543 10.7582 0.0000
4.3284 3.2160 0.0000
3.3511 7.1265 0.0000
2.1552 10.2616 1.9716
8.2365 2.1406 0.0000
7.2138 6.0628 0.0000
6.0089 9.1718 1.9716
11.5314 1.6295 1.9716
```

Most intense lines, 2θ from 10° to 90°, by intensity:
| index | 2θ (°) | d (Å) | I_rel |
| --- | --- | --- | --- |
| 1 3 1 | 36.4 | 2.469 | 100 |
| 0 0 2 | 46.0 | 1.972 | 35 |
| 2 2 1 | 35.5 | 2.529 | 34 |
| 5 2 0 | 49.9 | 1.829 | 29 |
| 2 5 1 | 55.4 | 1.659 | 27 |
| 5 2 2 | 70.2 | 1.341 | 26 |
| 3 0 1 | 32.7 | 2.739 | 21 |
| 5 1 0 | 44.2 | 2.051 | 15 |
| 4 1 0 | 36.0 | 2.492 | 15 |
| 4 2 0 | 41.9 | 2.158 | 14 |

=====

[2]
This entry pairs a crystal structure of Ni12Sn3As with its simulated powder diffractogram. Radiation: copper Kα. Structure: a structure optimized by DFT (PBE).

Structure:
```
Ni12Sn3As
1.0
3.7032 0.0000 0.0000
0.0000 3.7032 0.0000
0.0000 0.0000 14.7511
Ni Sn As
12 3 1
Cartesian
0.0000 0.0000 0.0000
0.0000 0.0000 3.5914
0.0000 0.0000 7.3755
0.0000 0.0000 11.1597
0.0000 1.8516 1.7050
0.0000 1.8516 5.4923
0.0000 1.8516 9.2588
0.0000 1.8516 13.0461
1.8516 0.0000 1.7050
1.8516 0.0000 5.4923
1.8516 0.0000 9.2588
1.8516 0.0000 13.0461
1.8516 1.8516 3.6267
1.8516 1.8516 7.3755
1.8516 1.8516 11.1244
1.8516 1.8516 0.0000
```

Most intense lines, 2θ from 10° to 90°, by intensity:
| index | 2θ (°) | d (Å) | I_rel |
| --- | --- | --- | --- |
| 1 1 4 | 42.3 | 2.135 | 100 |
| 2 0 0 | 49.2 | 1.852 | 32 |
| 3 1 4 | 87.4 | 1.116 | 24 |
| 2 0 8 | 72.3 | 1.307 | 18 |
| 0 0 8 | 49.4 | 1.844 | 15 |
| 1 1 12 | 87.7 | 1.113 | 11 |
| 2 2 0 | 72.1 | 1.309 | 10 |
| 1 0 4 | 34.3 | 2.615 | 6 |
| 1 0 0 | 24.0 | 3.703 | 5 |
| 0 0 4 | 24.1 | 3.688 | 2 |

=====

[3]
This entry pairs a crystal structure of SrNi5As4 with its simulated powder diffractogram. Radiation: copper Kα. Structure: a structure optimized by DFT (PBE).

Structure:
```
SrNi5As4
1.0
8.4557 0.0000 0.0000
0.0000 8.4557 0.0000
0.0000 0.0000 4.9226
Sr Ni As
2 10 8
Cartesian
2.1139 6.3418 0.0000
6.3418 2.1139 0.0000
0.1091 0.1091 1.2171
0.1091 4.1187 1.2171
2.1139 2.1139 1.5560
4.1187 0.1091 1.2171
4.1187 4.1187 1.2171
4.3370 4.3370 3.7056
4.3370 8.3466 3.7056
6.3418 6.3418 3.3666
8.3466 4.3370 3.7056
8.3466 8.3466 3.7056
0.0526 2.1139 2.6862
2.1139 0.0526 2.6862
2.1139 4.1753 2.6862
4.1753 2.1139 2.6862
4.2804 6.3418 2.2364
6.3418 4.2804 2.2364
6.3418 8.4032 2.2364
8.4032 6.3418 2.2364
```

Most intense lines, 2θ from 10° to 90°, by intensity:
| index | 2θ (°) | d (Å) | I_rel |
| --- | --- | --- | --- |
| 4 0 0 | 42.8 | 2.115 | 100 |
| 2 2 1 | 35.1 | 2.555 | 74 |
| 2 2 2 | 47.9 | 1.900 | 50 |
| 0 0 1 | 18.0 | 4.923 | 41 |
| 2 0 2 | 42.5 | 2.127 | 30 |
| 1 1 1 | 23.4 | 3.800 | 26 |
| 4 4 0 | 62.1 | 1.495 | 25 |
| 6 2 2 | 82.0 | 1.175 | 17 |
| 4 2 2 | 61.9 | 1.499 | 17 |
| 6 2 1 | 73.4 | 1.290 | 17 |

=====

Number 2 is which compound? Ni12Sn3As